(1)
# FeP3O9
Theoretical X-ray diffraction stick pattern, λ = 1.5418 Å (Cu Kα). Input: DFT lattice parameters and positions (GGA+U).
Neutral-atom scattering factors, no anomalous dispersion.

Cell and atoms:
a b c (Å): 6.370 10.996 9.952
angles (deg): 90.00 90.00 90.00
Element x y z (fractional)
1 Fe 0.000 0.000 0.000
2 Fe 0.000 0.500 0.500
3 Fe 0.500 0.000 0.500
4 Fe 0.500 0.500 0.000
5 P 0.137 0.134 0.289
6 P 0.137 0.366 0.789
7 P 0.250 0.750 0.081
8 P 0.250 0.750 0.581
9 P 0.363 0.134 0.789
10 P 0.363 0.366 0.289
11 P 0.637 0.634 0.711
12 P 0.637 0.866 0.211
13 P 0.750 0.250 0.419
14 P 0.750 0.250 0.919
15 P 0.863 0.634 0.211
16 P 0.863 0.866 0.711
17 O 0.092 0.690 0.185
18 O 0.092 0.810 0.685
19 O 0.114 0.037 0.184
20 O 0.114 0.463 0.684
21 O 0.150 0.653 0.497
22 O 0.150 0.847 0.997
23 O 0.243 0.097 0.418
24 O 0.243 0.403 0.918
25 O 0.250 0.250 0.220
26 O 0.250 0.250 0.720
27 O 0.257 0.097 0.918
28 O 0.257 0.403 0.418
29 O 0.350 0.653 0.997
30 O 0.350 0.847 0.497
31 O 0.386 0.037 0.684
32 O 0.386 0.463 0.184
33 O 0.408 0.690 0.685
34 O 0.408 0.810 0.185
35 O 0.592 0.190 0.815
36 O 0.592 0.310 0.315
37 O 0.614 0.537 0.816
38 O 0.614 0.963 0.316
39 O 0.650 0.153 0.503
40 O 0.650 0.347 0.003
41 O 0.743 0.597 0.582
42 O 0.743 0.903 0.082
43 O 0.750 0.750 0.280
44 O 0.750 0.750 0.780
45 O 0.757 0.597 0.082
46 O 0.757 0.903 0.582
47 O 0.850 0.153 0.003
48 O 0.850 0.347 0.503
49 O 0.886 0.537 0.316
50 O 0.886 0.963 0.816
51 O 0.908 0.190 0.315
52 O 0.908 0.310 0.815

Most intense lines, 10° ≤ 2θ ≤ 90°, by angle:
- 18.40°, I = 100
- 19.58°, I = 56
- 23.16°, I = 60
- 24.10°, I = 68
- 28.09°, I = 30
- 29.51°, I = 28
- 30.57°, I = 21
- 31.48°, I = 30
- 32.49°, I = 22
- 37.32°, I = 18
- 40.06°, I = 22
- 57.32°, I = 14

---

(2)
# FePO4
Theoretical X-ray diffraction stick pattern, λ = 1.5418 Å (Cu Kα). Input: DFT lattice parameters and positions (GGA+U).
Neutral-atom scattering factors, no anomalous dispersion.

Cell and atoms:
a b c (Å): 8.427 8.427 8.427
angles (deg): 61.86 61.86 61.86
Element x y z (fractional)
1 Fe 0.000 0.000 0.000
2 Fe 0.146 0.146 0.146
3 Fe 0.354 0.354 0.354
4 Fe 0.500 0.500 0.500
5 Fe 0.646 0.646 0.646
6 Fe 0.854 0.854 0.854
7 P 0.048 0.750 0.452
8 P 0.250 0.548 0.952
9 P 0.452 0.048 0.750
10 P 0.548 0.952 0.250
11 P 0.750 0.452 0.048
12 P 0.952 0.250 0.548
13 O 0.005 0.823 0.607
14 O 0.062 0.905 0.249
15 O 0.095 0.751 0.938
16 O 0.107 0.323 0.505
17 O 0.177 0.393 0.995
18 O 0.249 0.062 0.905
19 O 0.251 0.595 0.438
20 O 0.323 0.505 0.107
21 O 0.393 0.995 0.177
22 O 0.405 0.562 0.749
23 O 0.438 0.251 0.595
24 O 0.495 0.893 0.677
25 O 0.505 0.107 0.323
26 O 0.562 0.749 0.405
27 O 0.595 0.438 0.251
28 O 0.607 0.005 0.823
29 O 0.677 0.495 0.893
30 O 0.749 0.405 0.562
31 O 0.751 0.938 0.095
32 O 0.823 0.607 0.005
33 O 0.893 0.677 0.495
34 O 0.905 0.249 0.062
35 O 0.938 0.095 0.751
36 O 0.995 0.177 0.393

Most intense lines, 10° ≤ 2θ ≤ 90°, by angle:
- 20.50°, I = 89
- 24.38°, I = 100
- 25.31°, I = 14
- 31.86°, I = 15
- 33.56°, I = 76
- 35.91°, I = 43
- 48.05°, I = 27
- 49.97°, I = 30
- 56.18°, I = 24
- 57.20°, I = 14
- 63.05°, I = 25
- 87.97°, I = 12